# Li2VSnP2O8
Simulated powder diffractogram, Cu Kα. Input: DFT lattice parameters and positions (PBE+U).

Top 12 peaks for 2θ = 5–70°, by angle:
- 15.8 deg, intensity 46, hkl 0 0 2
- 16.0 deg, intensity 19, hkl 0 1 1
- 19.9 deg, intensity 25, hkl 1 0 1
- 24.1 deg, intensity 34, hkl 1 0 -2
- 24.3 deg, intensity 100, hkl 1 1 1
- 28.0 deg, intensity 62, hkl 0 2 0
- 33.2 deg, intensity 43, hkl 1 1 -3
- 33.4 deg, intensity 44, hkl 1 1 3
- 34.6 deg, intensity 19, hkl 1 2 1
- 34.9 deg, intensity 18, hkl 0 1 4
- 40.5 deg, intensity 23, hkl 2 0 2
- 49.8 deg, intensity 23, hkl 2 2 -2

Cell and atoms:
a = 4.8636 Å, b = 6.3815 Å, c = 11.2459 Å
α = 90.00°, β = 90.37°, γ = 90.00°
Atoms (fractional coordinates):
Li1 0.0000 0.0000 0.0000
Li2 0.0000 0.5000 0.0000
Li3 0.5000 0.0000 0.5000
Li4 0.5000 0.5000 0.5000
V1 0.0612 0.2500 0.7110
V2 0.9388 0.7500 0.2890
Sn1 0.4716 0.2500 0.2245
Sn2 0.5284 0.7500 0.7755
P1 0.0902 0.7500 0.5752
P2 0.3490 0.7500 0.1120
P3 0.6510 0.2500 0.8880
P4 0.9098 0.2500 0.4248
O1 0.2034 0.5562 0.1725
O2 0.2034 0.7500 0.4464
O3 0.2034 0.9438 0.1725
O4 0.2220 0.5531 0.6388
O5 0.2220 0.9469 0.6388
O6 0.2268 0.2500 0.4166
O7 0.2520 0.7500 0.9804
O8 0.3384 0.2500 0.8712
O9 0.6616 0.7500 0.1288
O10 0.7480 0.2500 0.0196
O11 0.7732 0.7500 0.5834
O12 0.7780 0.0531 0.3612
O13 0.7780 0.4469 0.3612
O14 0.7966 0.0562 0.8275
O15 0.7966 0.2500 0.5536
O16 0.7966 0.4438 0.8275